Calculated powder X-ray diffraction pattern
Compound: GaHgRu2S
Radiation: Cu Kα
Structure: a structure optimized by DFT (GGA-PBE)
No peak broadening, texture or thermal motion is included.

Largest 6 diffraction maxima, low angle first, 2θ from 10° to 80°:
- 2θ 18.9, rel. 78.2
- 2θ 32.6, rel. 100.0
- 2θ 36.6, rel. 35.7
- 2θ 38.4, rel. 62.7
- 2θ 54.1, rel. 45.8
- 2θ 65.8, rel. 26.1

Structure:
a b c (Å): 4.691 4.691 4.906
angles (deg): 90.00 90.00 90.00
Sites, in units of the cell vectors:
Ga (0.000, 0.000, 0.000)
Hg (0.000, 0.000, 0.500)
Ru (0.000, 0.500, 0.000)
Ru (0.500, 0.000, 0.000)
S (0.500, 0.500, 0.500)


Calculated powder X-ray diffraction pattern
Compound: GaHgRuS
Radiation: Cu Kα
Structure: a structure optimized by DFT (GGA-PBE)
No peak broadening, texture or thermal motion is included.

Largest 6 diffraction maxima, low angle first, 2θ from 10° to 80°:
- 2θ 21.8, rel. 43.6
- 2θ 31.3, rel. 26.9
- 2θ 31.9, rel. 57.9
- 2θ 34.4, rel. 100.0
- 2θ 43.1, rel. 73.8
- 2θ 55.2, rel. 36.2

Structure:
a b c (Å): 3.326 3.326 8.387
angles (deg): 101.40 101.40 60.02
Sites, in units of the cell vectors:
Ga (0.000, 0.000, 0.000)
Hg (0.756, 0.756, 0.270)
Ru (0.257, 0.257, 0.770)
S (0.874, 0.874, 0.621)


Calculated powder X-ray diffraction pattern
Compound: GaHgRuS
Radiation: Cu Kα
Structure: a structure optimized by DFT (GGA-PBE)
No peak broadening, texture or thermal motion is included.

Largest 6 diffraction maxima, low angle first, 2θ from 10° to 80°:
- 2θ 22.0, rel. 31.0
- 2θ 31.1, rel. 17.9
- 2θ 33.0, rel. 100.0
- 2θ 38.4, rel. 50.9
- 2θ 46.2, rel. 49.3
- 2θ 55.3, rel. 26.9

Structure:
a b c (Å): 3.323 3.323 8.075
angles (deg): 90.00 90.00 120.00
Sites, in units of the cell vectors:
Ga (0.000, 0.000, 0.000)
Hg (0.333, 0.667, 0.735)
Ru (0.667, 0.333, 0.242)
S (0.333, 0.667, 0.390)


Calculated powder X-ray diffraction pattern
Compound: GaHg2S4
Radiation: Cu Kα
Structure: a structure optimized by DFT (GGA-PBE)
No peak broadening, texture or thermal motion is included.

Largest 6 diffraction maxima, low angle first, 2θ from 10° to 80°:
- 2θ 13.4, rel. 47.0
- 2θ 21.7, rel. 33.3
- 2θ 27.7, rel. 100.0
- 2θ 28.0, rel. 33.6
- 2θ 32.1, rel. 36.0
- 2θ 46.0, rel. 45.3

Structure:
a b c (Å): 6.850 6.850 6.865
angles (deg): 104.54 104.54 31.25
Sites, in units of the cell vectors:
Ga (0.000, 0.000, 0.000)
Hg (0.364, 0.364, 0.405)
Hg (0.636, 0.636, 0.595)
S (0.134, 0.134, 0.340)
S (0.388, 0.388, 0.066)
S (0.612, 0.612, 0.934)
S (0.866, 0.866, 0.660)


Calculated powder X-ray diffraction pattern
Compound: Ga4HgS7
Radiation: Cu Kα
Structure: a structure optimized by DFT (GGA-PBE)
No peak broadening, texture or thermal motion is included.

Largest 6 diffraction maxima, low angle first, 2θ from 10° to 80°:
- 2θ 14.8, rel. 100.0
- 2θ 22.4, rel. 38.9
- 2θ 28.5, rel. 33.6
- 2θ 30.6, rel. 47.8
- 2θ 32.2, rel. 31.0
- 2θ 51.8, rel. 33.2

Structure:
a b c (Å): 15.350 6.511 6.266
angles (deg): 90.00 90.00 90.00
Sites, in units of the cell vectors:
Ga (0.126, 0.151, 0.000)
Ga (0.240, 0.673, 0.992)
Ga (0.260, 0.327, 0.492)
Ga (0.374, 0.849, 0.500)
Ga (0.626, 0.849, 0.500)
Ga (0.740, 0.327, 0.492)
Ga (0.760, 0.673, 0.992)
Ga (0.874, 0.151, 0.000)
Hg (0.000, 0.250, 0.531)
Hg (0.500, 0.750, 0.031)
S (0.000, 0.340, 0.921)
S (0.118, 0.828, 0.882)
S (0.140, 0.147, 0.369)
S (0.247, 0.336, 0.871)
S (0.253, 0.664, 0.371)
S (0.360, 0.853, 0.869)
S (0.382, 0.172, 0.382)
S (0.500, 0.660, 0.421)
S (0.618, 0.172, 0.382)
S (0.640, 0.853, 0.869)
S (0.747, 0.664, 0.371)
S (0.753, 0.336, 0.871)
S (0.860, 0.147, 0.369)
S (0.882, 0.828, 0.882)


Please write out number 5 again, unchanged.
Calculated powder X-ray diffraction pattern
Compound: Ga4HgS7
Radiation: Cu Kα
Structure: a structure optimized by DFT (GGA-PBE)
No peak broadening, texture or thermal motion is included.

Largest 6 diffraction maxima, low angle first, 2θ from 10° to 80°:
- 2θ 14.8, rel. 100.0
- 2θ 22.4, rel. 38.9
- 2θ 28.5, rel. 33.6
- 2θ 30.6, rel. 47.8
- 2θ 32.2, rel. 31.0
- 2θ 51.8, rel. 33.2

Structure:
a b c (Å): 15.350 6.511 6.266
angles (deg): 90.00 90.00 90.00
Sites, in units of the cell vectors:
Ga (0.126, 0.151, 0.000)
Ga (0.240, 0.673, 0.992)
Ga (0.260, 0.327, 0.492)
Ga (0.374, 0.849, 0.500)
Ga (0.626, 0.849, 0.500)
Ga (0.740, 0.327, 0.492)
Ga (0.760, 0.673, 0.992)
Ga (0.874, 0.151, 0.000)
Hg (0.000, 0.250, 0.531)
Hg (0.500, 0.750, 0.031)
S (0.000, 0.340, 0.921)
S (0.118, 0.828, 0.882)
S (0.140, 0.147, 0.369)
S (0.247, 0.336, 0.871)
S (0.253, 0.664, 0.371)
S (0.360, 0.853, 0.869)
S (0.382, 0.172, 0.382)
S (0.500, 0.660, 0.421)
S (0.618, 0.172, 0.382)
S (0.640, 0.853, 0.869)
S (0.747, 0.664, 0.371)
S (0.753, 0.336, 0.871)
S (0.860, 0.147, 0.369)
S (0.882, 0.828, 0.882)